Entry 1:
Structure and calculated X-ray diffraction stick pattern of Dy4Cu2Ni (the PBE geometry in Alexandria; Cu Kα (λ = 1.5418 Å)).
Neutral-atom scattering factors, no anomalous dispersion.

Structure:
```
7
Lattice="2.422 1.398 7.896 -2.422 1.398 7.896 0.000 -2.797 7.896" Properties=species:S:1:pos:R:3 pbc="T T T"
Dy 0.000 0.000 2.931
Dy 0.000 0.000 8.862
Dy 0.000 0.000 14.827
Dy 0.000 0.000 20.757
Cu 0.000 0.000 5.906
Cu 0.000 0.000 17.783
Ni 0.000 0.000 0.000
```

Top 10 peaks for 15 to 90 degrees two-theta, sorted by position:
2theta, I (rel.)
26.0, 33.4
37.1, 100.0
45.9, 9.9
53.5, 17.2
60.5, 13.6
66.9, 26.1
67.0, 8.6
79.1, 5.4
79.2, 5.3
85.0, 5.5

=====

Entry 2:
Structure and calculated X-ray diffraction stick pattern of NdZn2Cu9 (the PBE geometry in Alexandria; Cu Kα (λ = 1.5418 Å)).
Neutral-atom scattering factors, no anomalous dispersion.

Structure:
```
24
Lattice="-5.082 5.082 3.311 5.082 -5.082 3.311 5.082 5.082 -3.311" Properties=species:S:1:pos:R:3 pbc="T T T"
Nd 5.082 2.541 0.828
Nd 0.000 2.541 2.484
Zn 0.000 0.000 0.000
Zn 2.541 2.541 -1.656
Zn 2.541 -2.541 1.656
Zn 0.000 5.082 0.000
Cu 5.082 -2.541 2.484
Cu 3.831 -0.427 1.199
Cu 6.333 -0.427 1.199
Cu 2.114 1.290 0.456
Cu 8.050 1.290 0.456
Cu 3.831 4.655 -1.199
Cu 1.251 -0.427 2.112
Cu 2.114 3.792 0.456
Cu 2.968 -1.290 3.768
Cu 2.114 6.372 -0.456
Cu 2.968 1.290 2.855
Cu 3.831 5.509 1.199
Cu 1.251 0.427 4.511
Cu -2.968 3.792 2.855
Cu 2.968 3.792 2.855
Cu -1.251 5.509 2.112
Cu 1.251 5.509 2.112
Cu 0.000 7.623 0.828
```

Top 10 peaks for 15 to 90 degrees two-theta, sorted by position:
2theta, I (rel.)
29.7, 19.0
34.6, 40.0
39.1, 100.0
39.7, 72.9
41.9, 33.6
45.0, 17.2
46.7, 49.4
48.6, 33.3
60.0, 18.2
71.6, 27.0

=====

Entry 3:
Structure and calculated X-ray diffraction stick pattern of Sr3H2 (the PBE geometry in Alexandria; Cu Kα (λ = 1.5418 Å)).
Neutral-atom scattering factors, no anomalous dispersion.

Structure:
```
10
Lattice="3.620 -6.287 0.000 3.620 6.287 0.000 -2.372 0.000 6.813" Properties=species:S:1:pos:R:3 pbc="T T T"
Sr 2.434 5.237 3.406
Sr 3.795 3.284 0.009
Sr 2.576 1.150 3.532
Sr 3.762 -1.150 0.126
Sr 2.610 -3.284 3.416
Sr 3.620 -5.237 0.000
H 1.331 3.177 4.314
H 2.517 -3.177 0.907
H 4.953 1.018 4.301
H 6.139 -1.018 0.894
```

Top 10 peaks for 15 to 90 degrees two-theta, sorted by position:
2theta, I (rel.)
26.1, 100.0
30.2, 33.2
30.3, 16.7
43.2, 24.7
43.4, 12.6
51.1, 21.3
51.3, 11.0
51.4, 7.4
53.7, 9.2
69.2, 6.9

=====

Entry 4:
Structure and calculated X-ray diffraction stick pattern of SrTiO (the PBE geometry in Alexandria; Cu Kα (λ = 1.5418 Å)).
Neutral-atom scattering factors, no anomalous dispersion.

Structure:
```
6
Lattice="3.499 0.000 0.000 0.000 3.880 0.000 0.000 0.000 9.352" Properties=species:S:1:pos:R:3 pbc="T T T"
Sr 0.000 0.000 0.000
Sr 1.749 1.940 3.667
Ti 0.000 0.000 5.985
Ti 1.749 1.940 7.138
O 0.000 0.000 4.093
O 1.749 0.000 7.420
```

Top 10 peaks for 15 to 90 degrees two-theta, sorted by position:
2theta, I (rel.)
24.8, 48.3
27.2, 27.0
28.6, 40.4
29.9, 50.7
31.9, 62.0
34.5, 100.0
37.0, 24.2
38.7, 31.6
45.4, 46.2
46.8, 25.2

=====

Entry 5:
Structure and calculated X-ray diffraction stick pattern of Nd4HoAs5 (the PBE geometry in Alexandria; Cu Kα (λ = 1.5418 Å)).
Neutral-atom scattering factors, no anomalous dispersion.

Structure:
```
10
Lattice="-4.741 4.741 3.000 4.741 -4.741 3.000 4.741 4.741 -3.000" Properties=species:S:1:pos:R:3 pbc="T T T"
Nd 6.639 0.934 0.000
Nd 0.934 2.843 0.000
Nd 3.806 1.898 3.000
Nd -1.898 3.806 3.000
Ho 0.000 0.000 3.000
As 0.000 0.000 0.000
As 3.808 1.947 0.000
As 2.794 -0.932 3.000
As 1.947 5.673 0.000
As 0.932 2.794 3.000
```

Top 10 peaks for 15 to 90 degrees two-theta, sorted by position:
2theta, I (rel.)
25.7, 18.7
29.8, 100.0
42.6, 75.0
50.5, 9.3
52.9, 26.5
61.9, 12.3
68.2, 3.9
70.2, 33.8
78.1, 25.1
83.8, 3.0

=====

Entry 6:
Structure and calculated X-ray diffraction stick pattern of AgAuSe (the PBE geometry in Alexandria; Cu Kα (λ = 1.5418 Å)).
Neutral-atom scattering factors, no anomalous dispersion.

Structure:
```
12
Lattice="4.750 -5.221 0.000 4.750 5.221 0.000 -4.610 0.000 5.700" Properties=species:S:1:pos:R:3 pbc="T T T"
Ag 1.530 1.559 0.558
Ag -0.775 -1.559 3.408
Ag 5.665 1.559 2.292
Ag 3.361 -1.559 5.142
Au 0.070 2.610 2.850
Au 2.375 -2.610 0.000
Au 4.750 0.000 0.000
Au 2.445 0.000 2.850
Se -1.427 1.080 4.093
Se 0.877 -1.080 1.243
Se 4.013 1.080 4.457
Se 6.318 -1.080 1.607
```

Top 10 peaks for 15 to 90 degrees two-theta, sorted by position:
2theta, I (rel.)
24.1, 50.5
28.3, 46.8
28.5, 43.3
29.6, 100.0
30.1, 97.9
36.4, 56.7
37.5, 47.7
38.4, 43.4
41.4, 35.3
52.1, 42.5

=====

Entry 7:
Structure and calculated X-ray diffraction stick pattern of Dy2Tm3Cd2 (the PBE geometry in Alexandria; Cu Kα (λ = 1.5418 Å)).
Neutral-atom scattering factors, no anomalous dispersion.

Structure:
```
7
Lattice="2.663 1.538 7.889 -2.663 1.538 7.889 0.000 -3.075 7.889" Properties=species:S:1:pos:R:3 pbc="T T T"
Dy 0.000 0.000 1.767
Dy 0.000 0.000 21.901
Tm 0.000 0.000 8.149
Tm 0.000 0.000 11.834
Tm 0.000 0.000 15.519
Cd 0.000 0.000 5.029
Cd 0.000 0.000 18.639
```

Top 10 peaks for 15 to 90 degrees two-theta, sorted by position:
2theta, I (rel.)
27.0, 9.0
32.8, 95.6
33.7, 100.0
47.7, 33.6
58.1, 20.6
59.7, 34.3
60.2, 18.7
70.7, 11.8
78.9, 14.0
80.2, 14.7

=====

Entry 8:
Structure and calculated X-ray diffraction stick pattern of Si2Pd5 (the PBE geometry in Alexandria; Cu Kα (λ = 1.5418 Å)).
Neutral-atom scattering factors, no anomalous dispersion.

Structure:
```
14
Lattice="6.537 -2.909 0.000 6.537 2.909 0.000 -0.748 0.000 5.544" Properties=species:S:1:pos:R:3 pbc="T T T"
Si 4.374 1.546 5.184
Si 7.579 1.546 3.131
Si 4.748 -1.546 2.412
Si 7.953 -1.546 0.360
Pd 6.350 2.658 1.386
Pd 2.300 0.411 4.433
Pd 4.951 0.746 2.988
Pd 2.674 -0.411 1.661
Pd 7.001 0.746 5.327
Pd 5.325 -0.746 0.216
Pd 9.653 0.411 3.882
Pd 7.375 -0.746 2.556
Pd 10.027 -0.411 1.110
Pd 5.976 -2.658 4.158
```

Top 10 peaks for 15 to 90 degrees two-theta, sorted by position:
2theta, I (rel.)
34.8, 57.0
35.7, 74.9
38.0, 100.0
38.4, 52.9
39.9, 41.2
41.8, 44.9
43.5, 33.4
45.2, 24.3
45.8, 32.9
47.4, 23.0